The following is a theoretical powder diffraction line list of Mn3As2. It was derived from a structure optimized by DFT (GGA-PBE), using Cu Kα, 1.54184 Å.
Peak positions follow from Bragg's law for the DFT cell and can differ from measured ones.

Structural model:
```
20
Lattice="1.714 -6.526 0.000 1.714 6.526 0.000 0.000 0.000 12.873" Properties=species:S:1:pos:R:3 pbc="T T T"
Mn 1.714 6.129 6.437
Mn 1.714 5.105 2.237
Mn 1.714 4.272 11.838
Mn 1.714 3.481 8.164
Mn 1.714 1.682 10.724
Mn 1.714 0.760 2.322
Mn 1.714 -0.760 8.759
Mn 1.714 -1.682 4.288
Mn 1.714 -3.481 1.728
Mn 1.714 -4.272 5.402
Mn 1.714 -5.105 8.673
Mn 1.714 -6.129 0.000
As 1.714 6.399 10.508
As 1.714 3.066 3.635
As 1.714 2.116 0.195
As 1.714 1.267 7.016
As 1.714 -1.267 0.580
As 1.714 -2.116 6.632
As 1.714 -3.066 10.071
As 1.714 -6.399 4.071
```

The 8 most intense peaks (10 to 90 degrees two-theta), by angle:
2θ 33.27, I = 21.7; 2θ 34.17, I = 45.1; 2θ 39.51, I = 100.0; 2θ 42.12, I = 42.6; 2θ 43.84, I = 81.8; 2θ 44.17, I = 38.2; 2θ 48.95, I = 24.9; 2θ 53.45, I = 43.4

The following is a theoretical powder diffraction line list of Mn3AsN. It was derived from a structure optimized by DFT (GGA-PBE), using Cu Kα, 1.54184 Å.
Peak positions follow from Bragg's law for the DFT cell and can differ from measured ones.

Structural model:
```
5
Lattice="3.826 0.000 0.000 0.000 3.826 0.000 0.000 0.000 3.826" Properties=species:S:1:pos:R:3 pbc="T T T"
Mn 0.000 0.000 1.913
Mn 0.000 1.913 0.000
Mn 1.913 0.000 0.000
As 1.913 1.913 1.913
N 0.000 0.000 0.000
```

The 8 most intense peaks (10 to 90 degrees two-theta), by angle:
2θ 33.11, I = 6.1; 2θ 40.85, I = 100.0; 2θ 47.53, I = 57.8; 2θ 59.15, I = 2.2; 2θ 69.48, I = 33.7; 2θ 79.16, I = 1.0; 2θ 83.86, I = 33.4; 2θ 88.53, I = 11.5

The following is a theoretical powder diffraction line list of MnNiAs. It was derived from a structure optimized by DFT (GGA-PBE), using Cu Kα, 1.54184 Å.
Peak positions follow from Bragg's law for the DFT cell and can differ from measured ones.

Structural model:
```
9
Lattice="6.163 0.000 0.000 -3.081 5.337 0.000 0.000 0.000 3.679" Properties=species:S:1:pos:R:3 pbc="T T T"
Mn -1.278 2.214 0.000
Mn 2.556 0.000 0.000
Mn 1.803 3.124 0.000
Ni -2.307 3.996 1.840
Ni 0.775 1.342 1.840
Ni 4.614 0.000 1.840
As 0.000 0.000 0.000
As 0.000 3.558 1.840
As 3.081 1.779 1.840
```

The 8 most intense peaks (10 to 90 degrees two-theta), by angle:
2θ 38.09, I = 76.2; 2θ 41.82, I = 100.0; 2θ 44.93, I = 36.3; 2θ 49.55, I = 32.4; 2θ 51.36, I = 32.3; 2θ 51.68, I = 42.0; 2θ 74.14, I = 20.7; 2θ 83.14, I = 25.4

The following is a theoretical powder diffraction line list of MnNiAs. It was derived from a structure optimized by DFT (GGA-PBE), using Cu Kα, 1.54184 Å.
Peak positions follow from Bragg's law for the DFT cell and can differ from measured ones.

Structural model:
```
12
Lattice="6.167 0.000 0.000 0.000 3.779 0.000 0.000 0.000 6.987" Properties=species:S:1:pos:R:3 pbc="T T T"
Mn 0.143 0.945 1.251
Mn 2.941 2.834 4.744
Mn 3.226 0.945 2.242
Mn 6.024 2.834 5.736
Ni 0.878 0.945 3.901
Ni 2.206 2.834 0.408
Ni 3.961 0.945 6.578
Ni 5.289 2.834 3.085
As 1.491 2.834 2.632
As 1.593 0.945 6.125
As 4.574 2.834 0.862
As 4.676 0.945 4.355
```

The 8 most intense peaks (10 to 90 degrees two-theta), by angle:
2θ 37.65, I = 26.4; 2θ 37.99, I = 55.4; 2θ 39.88, I = 100.0; 2θ 45.77, I = 47.0; 2θ 46.03, I = 28.1; 2θ 48.19, I = 83.3; 2θ 51.59, I = 26.2; 2θ 52.34, I = 27.6

The following is a theoretical powder diffraction line list of Mn6Ni16As7. It was derived from a structure optimized by DFT (GGA-PBE), using Cu Kα, 1.54184 Å.
Peak positions follow from Bragg's law for the DFT cell and can differ from measured ones.

Structural model:
```
29
Lattice="0.000 5.665 5.665 5.665 0.000 5.665 5.665 5.665 0.000" Properties=species:S:1:pos:R:3 pbc="T T T"
Mn 5.665 5.665 2.130
Mn 5.665 2.130 5.665
Mn 9.199 5.665 5.665
Mn 2.130 5.665 5.665
Mn 5.665 9.199 5.665
Mn 5.665 5.665 9.199
Ni 6.999 4.330 4.330
Ni 1.857 1.857 1.857
Ni 3.807 3.807 1.857
Ni 3.807 1.857 3.807
Ni 4.330 4.330 4.330
Ni 6.999 6.999 4.330
Ni 6.999 4.330 6.999
Ni 9.472 7.522 7.522
Ni 1.857 3.807 3.807
Ni 4.330 6.999 4.330
Ni 4.330 4.330 6.999
Ni 6.999 6.999 6.999
Ni 7.522 9.472 7.522
Ni 7.522 7.522 9.472
Ni 9.472 9.472 9.472
Ni 4.330 6.999 6.999
As 2.832 2.832 0.000
As 2.832 0.000 2.832
As 5.665 2.832 2.832
As 0.000 2.832 2.832
As 2.832 5.665 2.832
As 2.832 2.832 5.665
As 5.665 5.665 5.665
```

The 8 most intense peaks (10 to 90 degrees two-theta), by angle:
2θ 38.95, I = 16.4; 2θ 41.41, I = 55.9; 2θ 45.28, I = 100.0; 2θ 47.48, I = 23.5; 2θ 48.19, I = 11.6; 2θ 53.66, I = 22.8; 2θ 83.63, I = 13.1; 2θ 85.23, I = 16.5

The following is a theoretical powder diffraction line list of Mn4AsP3. It was derived from a structure optimized by DFT (GGA-PBE), using Cu Kα, 1.54184 Å.
Peak positions follow from Bragg's law for the DFT cell and can differ from measured ones.

Structural model:
```
8
Lattice="5.272 0.000 0.000 0.000 3.245 0.000 0.000 0.000 5.910" Properties=species:S:1:pos:R:3 pbc="T T T"
Mn 0.000 0.000 0.000
Mn 5.272 1.623 2.388
Mn 2.533 1.623 3.068
Mn 2.597 0.000 5.295
As 3.589 0.000 1.648
P 0.951 0.000 3.739
P 1.556 1.623 0.742
P 4.213 1.623 4.592
```

The 8 most intense peaks (10 to 90 degrees two-theta), by angle:
2θ 31.45, I = 45.1; 2θ 34.80, I = 31.6; 2θ 35.87, I = 64.6; 2θ 44.91, I = 60.9; 2θ 46.14, I = 47.0; 2θ 46.99, I = 100.0; 2θ 54.49, I = 58.2; 2θ 56.73, I = 29.3

The following is a theoretical powder diffraction line list of Mn2AsP. It was derived from a structure optimized by DFT (GGA-PBE), using Cu Kα, 1.54184 Å.
Peak positions follow from Bragg's law for the DFT cell and can differ from measured ones.

Structural model:
```
8
Lattice="3.320 0.000 0.000 0.000 5.970 0.000 0.000 0.000 5.352" Properties=species:S:1:pos:R:3 pbc="T T T"
Mn 0.000 0.305 0.000
Mn 0.000 5.665 2.676
Mn 1.660 2.603 0.015
Mn 1.660 3.367 2.691
As 0.000 1.945 1.693
As 0.000 4.025 4.369
P 1.660 1.001 3.774
P 1.660 4.968 1.098
```

The 8 most intense peaks (10 to 90 degrees two-theta), by angle:
2θ 22.31, I = 23.8; 2θ 34.40, I = 41.8; 2θ 35.18, I = 92.3; 2θ 44.17, I = 70.3; 2θ 45.53, I = 47.8; 2θ 46.14, I = 100.0; 2θ 53.67, I = 70.3; 2θ 55.34, I = 33.7

The following is a theoretical powder diffraction line list of MnAsPd. It was derived from a structure optimized by DFT (GGA-PBE), using Cu Kα, 1.54184 Å.
Peak positions follow from Bragg's law for the DFT cell and can differ from measured ones.

Structural model:
```
9
Lattice="6.674 0.000 0.000 -3.337 5.780 0.000 0.000 0.000 3.752" Properties=species:S:1:pos:R:3 pbc="T T T"
Mn -1.976 3.422 0.000
Mn 1.361 2.358 0.000
Mn 3.952 0.000 0.000
As 0.000 0.000 0.000
As 0.000 3.853 1.876
As 3.337 1.927 1.876
Pd -0.874 1.513 1.876
Pd 1.747 0.000 1.876
Pd 2.464 4.267 1.876
```

The 8 most intense peaks (10 to 90 degrees two-theta), by angle:
2θ 36.02, I = 100.0; 2θ 39.36, I = 85.3; 2θ 41.33, I = 48.7; 2θ 47.17, I = 41.0; 2θ 48.20, I = 49.7; 2θ 48.53, I = 30.7; 2θ 70.00, I = 24.3; 2θ 76.14, I = 33.8

The following is a theoretical powder diffraction line list of Pr4Mn2As5. It was derived from a structure optimized by DFT (GGA-PBE), using Cu Kα, 1.54184 Å.
Peak positions follow from Bragg's law for the DFT cell and can differ from measured ones.

Structural model:
```
11
Lattice="4.216 0.000 0.000 -2.108 3.651 0.000 0.000 0.000 17.582" Properties=species:S:1:pos:R:3 pbc="T T T"
Pr 0.000 0.000 3.480
Pr 0.000 0.000 14.102
Pr 0.000 2.434 10.563
Pr 2.108 1.217 7.019
Mn 0.000 2.434 0.840
Mn 2.108 1.217 16.741
As 0.000 0.000 8.791
As 0.000 2.434 5.225
As 0.000 2.434 15.999
As 2.108 1.217 1.583
As 2.108 1.217 12.357
```

The 8 most intense peaks (10 to 90 degrees two-theta), by angle:
2θ 26.43, I = 18.7; 2θ 28.81, I = 100.0; 2θ 31.86, I = 30.8; 2θ 39.43, I = 20.4; 2θ 42.91, I = 56.7; 2θ 43.75, I = 31.4; 2θ 52.51, I = 18.7; 2θ 69.64, I = 15.7

The following is a theoretical powder diffraction line list of RbMnAs. It was derived from a structure optimized by DFT (GGA-PBE), using Cu Kα, 1.54184 Å.
Peak positions follow from Bragg's law for the DFT cell and can differ from measured ones.

Structural model:
```
6
Lattice="4.208 0.000 0.000 0.000 4.208 0.000 0.000 0.000 11.090" Properties=species:S:1:pos:R:3 pbc="T T T"
Rb 1.052 1.052 2.280
Rb 3.156 3.156 8.810
Mn 1.052 3.156 5.545
Mn 3.156 1.052 5.545
As 1.052 1.052 6.862
As 3.156 3.156 4.227
```

The 8 most intense peaks (10 to 90 degrees two-theta), by angle:
2θ 26.59, I = 100.0; 2θ 30.03, I = 27.8; 2θ 32.23, I = 56.5; 2θ 34.20, I = 51.9; 2θ 42.98, I = 42.6; 2θ 51.26, I = 31.8; 2θ 51.38, I = 43.2; 2θ 84.97, I = 27.2

The following is a theoretical powder diffraction line list of RbMnAs. It was derived from a structure optimized by DFT (GGA-PBE), using Cu Kα, 1.54184 Å.
Peak positions follow from Bragg's law for the DFT cell and can differ from measured ones.

Structural model:
```
6
Lattice="4.486 0.000 0.000 0.000 4.486 0.000 0.000 0.000 8.400" Properties=species:S:1:pos:R:3 pbc="T T T"
Rb 1.121 1.121 1.292
Rb 3.364 3.364 7.107
Mn 1.121 3.364 4.200
Mn 3.364 1.121 4.200
As 1.121 1.121 5.573
As 3.364 3.364 2.827
```

The 8 most intense peaks (10 to 90 degrees two-theta), by angle:
2θ 10.53, I = 29.3; 2θ 28.13, I = 28.2; 2θ 29.13, I = 100.0; 2θ 30.12, I = 17.7; 2θ 35.47, I = 39.7; 2θ 40.21, I = 44.5; 2θ 50.41, I = 42.2; 2θ 52.25, I = 25.6

The following is a theoretical powder diffraction line list of Rb4MnAs2S8. It was derived from a structure optimized by DFT (GGA-PBE), using Cu Kα, 1.54184 Å.
Peak positions follow from Bragg's law for the DFT cell and can differ from measured ones.

Structural model:
```
30
Lattice="9.208 0.000 0.000 -0.353 9.362 0.000 -2.803 -3.228 10.535" Properties=species:S:1:pos:R:3 pbc="T T T"
Rb -0.274 3.707 2.610
Rb 2.058 0.029 0.411
Rb 1.031 0.160 9.176
Rb 2.225 0.889 5.052
Rb 3.827 5.245 5.483
Rb 5.021 5.974 1.359
Rb 3.993 6.105 10.124
Rb 6.325 2.427 7.925
Mn -0.521 6.211 6.035
Mn 6.573 -0.077 4.500
As -0.645 7.433 2.879
As 1.027 3.998 7.960
As 5.025 2.137 2.575
As 6.697 -1.298 7.656
S -2.531 -0.532 9.666
S -0.584 0.242 2.897
S -0.851 -0.444 6.466
S -0.060 3.665 6.070
S 1.086 6.858 4.094
S -0.155 3.303 9.637
S 1.277 6.211 7.924
S 3.105 3.156 2.545
S 2.946 2.978 7.990
S 4.775 -0.077 2.611
S 6.207 2.831 0.898
S 4.966 -0.724 6.441
S 6.112 2.469 4.465
S 6.903 6.578 4.069
S 6.636 5.892 7.638
S 8.583 6.666 0.869
```

The 8 most intense peaks (10 to 90 degrees two-theta), by angle:
2θ 21.84, I = 54.5; 2θ 23.77, I = 70.9; 2θ 24.10, I = 55.7; 2θ 27.84, I = 100.0; 2θ 29.60, I = 88.0; 2θ 29.76, I = 57.4; 2θ 29.96, I = 52.5; 2θ 30.50, I = 99.9